No. 1
The following is a calculated powder diffraction line list of Li2MnO2F. It was derived from a DFT-relaxed cell (GGA+U, the Materials Project), using λ = 1.5418 Å (Cu Kα).
Kinematic intensities with the Lorentz-polarization factor, no thermal factor.

Peak list (6 most intense, 2θ from 15° to 90°, in order of falling intensity)
index, d (Å), two_theta, Rel. int.
0 0 3, 4.839, 18.33, 100.0
1 0 4, 2.138, 42.27, 91.9
1 1 -4, 2.033, 44.56, 39.9
0 1 1, 2.576, 34.83, 32.5
1 2 0, 1.471, 63.22, 22.6
1 0 -8, 1.476, 62.97, 22.3

Cell and atoms:
```
data_Li2MnO2F
_chemical_formula_sum 'Li4 Mn2 O4 F2'
_cell_length_a 2.945
_cell_length_b 2.946
_cell_length_c 14.529
_cell_angle_alpha 88.08
_cell_angle_beta 88.17
_cell_angle_gamma 62.33
_symmetry_space_group_name_H-M 'P 1'
_symmetry_Int_Tables_number 1
_symmetry_space_group_name_Hall 'P 1'
loop_
_atom_site_label
_atom_site_type_symbol
_atom_site_fract_x
_atom_site_fract_y
_atom_site_fract_z
Li1 Li 0.000 0.000 0.000
Li2 Li 0.023 0.980 0.500
Li3 Li 0.348 0.305 0.660
Li4 Li 0.697 0.656 0.340
Mn1 Mn 0.348 0.328 0.169
Mn2 Mn 0.670 0.655 0.830
O1 O 0.050 0.922 0.752
O2 O 0.080 0.946 0.248
O3 O 0.288 0.388 0.909
O4 O 0.615 0.709 0.091
F1 F 0.365 0.310 0.419
F2 F 0.693 0.637 0.580
```

No. 2
The following is a calculated powder diffraction line list of LiMn6O4F8. It was derived from a DFT-relaxed cell (GGA+U, the Materials Project), using λ = 1.5418 Å (Cu Kα).
Kinematic intensities with the Lorentz-polarization factor, no thermal factor.

Peak list (6 most intense, 2θ from 15° to 90°, in order of falling intensity)
index, d (Å), two_theta, Rel. int.
1 1 1, 3.551, 25.08, 100.0
-1 1 1, 3.474, 25.64, 93.7
1 0 3, 2.344, 38.40, 31.2
0 2 -1, 2.692, 33.28, 30.8
1 -3 0, 1.812, 50.36, 30.5
1 1 -2, 2.701, 33.17, 25.5

Cell and atoms:
```
data_LiMn6O4F8
_chemical_formula_sum 'Li1 Mn6 O4 F8'
_cell_length_a 5.009
_cell_length_b 5.912
_cell_length_c 7.977
_cell_angle_alpha 85.37
_cell_angle_beta 89.88
_cell_angle_gamma 88.50
_symmetry_space_group_name_H-M 'P 1'
_symmetry_Int_Tables_number 1
_symmetry_space_group_name_Hall 'P 1'
loop_
_atom_site_label
_atom_site_type_symbol
_atom_site_fract_x
_atom_site_fract_y
_atom_site_fract_z
Li1 Li 0.000 0.000 0.000
Mn1 Mn 0.062 0.363 0.207
Mn2 Mn 0.501 0.817 0.190
Mn3 Mn 0.506 0.495 0.520
Mn4 Mn 0.547 0.153 0.852
Mn5 Mn 0.959 0.619 0.830
Mn6 Mn 0.986 0.001 0.539
O1 O 0.349 0.547 0.299
O2 O 0.655 0.082 0.084
O3 O 0.668 0.444 0.734
O4 O 0.819 0.954 0.778
F1 F 0.173 0.019 0.274
F2 F 0.173 0.300 0.947
F3 F 0.201 0.684 0.613
F4 F 0.284 0.798 0.969
F5 F 0.321 0.183 0.610
F6 F 0.697 0.806 0.421
F7 F 0.815 0.618 0.088
F8 F 0.816 0.311 0.422
```

No. 3
The following is a calculated powder diffraction line list of LiMn6O4F8. It was derived from a DFT-relaxed cell (GGA+U, the Materials Project), using λ = 1.5418 Å (Cu Kα).
Kinematic intensities with the Lorentz-polarization factor, no thermal factor.

Peak list (6 most intense, 2θ from 15° to 90°, in order of falling intensity)
index, d (Å), two_theta, Rel. int.
1 1 -1, 3.491, 25.52, 100.0
0 2 1, 2.679, 33.45, 27.4
1 3 0, 1.813, 50.34, 21.3
-1 1 2, 2.698, 33.20, 14.9
1 0 -3, 2.356, 38.20, 12.0
0 0 3, 2.659, 33.71, 12.0

Cell and atoms:
```
data_LiMn6O4F8
_chemical_formula_sum 'Li1 Mn6 O4 F8'
_cell_length_a 4.998
_cell_length_b 5.851
_cell_length_c 7.996
_cell_angle_alpha 94.07
_cell_angle_beta 90.47
_cell_angle_gamma 90.12
_symmetry_space_group_name_H-M 'P 1'
_symmetry_Int_Tables_number 1
_symmetry_space_group_name_Hall 'P 1'
loop_
_atom_site_label
_atom_site_type_symbol
_atom_site_fract_x
_atom_site_fract_y
_atom_site_fract_z
Li1 Li 0.000 0.000 0.000
Mn1 Mn 0.092 0.238 0.647
Mn2 Mn 0.127 0.892 0.322
Mn3 Mn 0.155 0.555 0.006
Mn4 Mn 0.509 0.092 0.975
Mn5 Mn 0.616 0.722 0.659
Mn6 Mn 0.623 0.393 0.331
O1 O 0.303 0.877 0.086
O2 O 0.416 0.989 0.752
O3 O 0.429 0.360 0.118
O4 O 0.795 0.448 0.551
F1 F 0.328 0.196 0.426
F2 F 0.329 0.502 0.765
F3 F 0.408 0.689 0.434
F4 F 0.824 0.092 0.208
F5 F 0.836 0.751 0.883
F6 F 0.901 0.935 0.547
F7 F 0.904 0.252 0.894
F8 F 0.908 0.590 0.227
```

No. 4
The following is a calculated powder diffraction line list of Li5MnO3F. It was derived from a DFT-relaxed cell (GGA+U, the Materials Project), using λ = 1.5418 Å (Cu Kα).
Kinematic intensities with the Lorentz-polarization factor, no thermal factor.

Peak list (6 most intense, 2θ from 15° to 90°, in order of falling intensity)
index, d (Å), two_theta, Rel. int.
1 1 1, 3.441, 25.89, 100.0
3 3 -1, 2.227, 40.51, 50.8
4 4 0, 1.696, 54.09, 37.0
5 3 1, 1.417, 65.94, 18.4
2 0 2, 1.836, 49.65, 18.1
4 2 0, 2.111, 42.84, 17.2

Cell and atoms:
```
data_Li5MnO3F
_chemical_formula_sum 'Li20 Mn4 O12 F4'
_cell_length_a 9.796
_cell_length_b 9.862
_cell_length_c 4.758
_cell_angle_alpha 90.00
_cell_angle_beta 107.47
_cell_angle_gamma 90.00
_symmetry_space_group_name_H-M 'C 1 2/m 1'
_symmetry_Int_Tables_number 12
_symmetry_space_group_name_Hall '-C 2y'
loop_
_atom_site_label
_atom_site_type_symbol
_atom_site_fract_x
_atom_site_fract_y
_atom_site_fract_z
Li1 Li 0.128 0.222 0.382
Li2 Li 0.131 0.280 0.871
Li3 Li 0.143 0.000 0.862
Mn1 Mn 0.126 0.500 0.367
O1 O 0.000 0.350 0.500
O2 O 0.249 0.351 0.246
F1 F 0.000 0.144 0.000
```

No. 5
The following is a calculated powder diffraction line list of Li3Mn5O2F9. It was derived from a DFT-relaxed cell (GGA+U, the Materials Project), using λ = 1.5418 Å (Cu Kα).
Kinematic intensities with the Lorentz-polarization factor, no thermal factor.

Peak list (6 most intense, 2θ from 15° to 90°, in order of falling intensity)
index, d (Å), two_theta, Rel. int.
0 2 2, 3.029, 29.49, 100.0
1 1 2, 4.058, 21.90, 70.4
2 0 -2, 2.688, 33.34, 60.5
1 1 -2, 3.453, 25.80, 46.2
1 0 2, 4.249, 20.90, 45.0
2 2 4, 2.029, 44.67, 40.1

Cell and atoms:
```
data_Li3Mn5O2F9
_chemical_formula_sum 'Li6 Mn10 O4 F18'
_cell_length_a 6.648
_cell_length_b 6.931
_cell_length_c 10.763
_cell_angle_alpha 81.13
_cell_angle_beta 84.45
_cell_angle_gamma 77.73
_symmetry_space_group_name_H-M 'P 1'
_symmetry_Int_Tables_number 1
_symmetry_space_group_name_Hall 'P 1'
loop_
_atom_site_label
_atom_site_type_symbol
_atom_site_fract_x
_atom_site_fract_y
_atom_site_fract_z
Li1 Li 0.000 0.000 0.000
Li2 Li 0.022 0.928 0.462
Li3 Li 0.408 0.286 0.925
Li4 Li 0.485 0.342 0.507
Li5 Li 0.646 0.547 0.720
Li6 Li 0.796 0.709 0.197
Mn1 Mn 0.115 0.656 0.686
Mn2 Mn 0.221 0.114 0.234
Mn3 Mn 0.247 0.080 0.717
Mn4 Mn 0.339 0.630 0.247
Mn5 Mn 0.521 0.813 0.981
Mn6 Mn 0.534 0.834 0.454
Mn7 Mn 0.673 0.257 0.215
Mn8 Mn 0.757 0.045 0.730
Mn9 Mn 0.864 0.478 0.962
Mn10 Mn 0.938 0.428 0.459
O1 O 0.047 0.961 0.641
O2 O 0.277 0.859 0.355
O3 O 0.474 0.043 0.836
O4 O 0.612 0.557 0.127
F1 F 0.038 0.558 0.272
F2 F 0.162 0.480 0.873
F3 F 0.192 0.386 0.588
F4 F 0.232 0.857 0.083
F5 F 0.385 0.295 0.332
F6 F 0.424 0.675 0.631
F7 F 0.456 0.168 0.095
F8 F 0.533 0.061 0.566
F9 F 0.580 0.471 0.890
F10 F 0.623 0.531 0.395
F11 F 0.710 0.943 0.282
F12 F 0.734 0.341 0.620
F13 F 0.814 0.696 0.781
F14 F 0.841 0.807 0.015
F15 F 0.871 0.713 0.517
F16 F 0.932 0.189 0.361
F17 F 0.953 0.174 0.851
F18 F 0.972 0.221 0.100
```

No. 6
The following is a calculated powder diffraction line list of LiMn2OF3. It was derived from a DFT-relaxed cell (GGA+U, the Materials Project), using λ = 1.5418 Å (Cu Kα).
Kinematic intensities with the Lorentz-polarization factor, no thermal factor.

Peak list (6 most intense, 2θ from 15° to 90°, in order of falling intensity)
index, d (Å), two_theta, Rel. int.
1 1 1, 3.785, 23.51, 100.0
2 2 2, 1.892, 48.08, 70.2
4 0 1, 2.414, 37.24, 59.7
4 0 0, 2.715, 32.99, 28.9
0 2 1, 2.695, 33.24, 26.0
0 0 1, 5.278, 16.80, 22.3

Cell and atoms:
```
data_LiMn2OF3
_chemical_formula_sum 'Li4 Mn8 O4 F12'
_cell_length_a 10.881
_cell_length_b 6.259
_cell_length_c 5.278
_cell_angle_alpha 90.00
_cell_angle_beta 90.04
_cell_angle_gamma 90.00
_symmetry_space_group_name_H-M 'C 1 2 1'
_symmetry_Int_Tables_number 5
_symmetry_space_group_name_Hall 'C 2y'
loop_
_atom_site_label
_atom_site_type_symbol
_atom_site_fract_x
_atom_site_fract_y
_atom_site_fract_z
Li1 Li 0.167 0.000 0.022
Mn1 Mn 0.000 0.500 0.000
Mn2 Mn 0.000 0.999 0.500
Mn3 Mn 0.249 0.751 0.501
O1 O 0.167 0.001 0.667
F1 F 0.086 0.240 0.217
F2 F 0.086 0.759 0.214
F3 F 0.173 0.500 0.787
```

No. 7
The following is a calculated powder diffraction line list of Li2MnO2F. It was derived from a DFT-relaxed cell (GGA+U, the Materials Project), using λ = 1.5418 Å (Cu Kα).
Kinematic intensities with the Lorentz-polarization factor, no thermal factor.

Peak list (6 most intense, 2θ from 15° to 90°, in order of falling intensity)
index, d (Å), two_theta, Rel. int.
1 1 0, 4.057, 21.91, 100.0
2 0 0, 4.348, 20.43, 76.0
0 2 0, 2.294, 39.28, 54.2
4 0 -2, 2.031, 44.62, 52.9
2 0 2, 2.021, 44.84, 34.6
4 2 -2, 1.521, 60.92, 23.5

Cell and atoms:
```
data_Li2MnO2F
_chemical_formula_sum 'Li8 Mn4 O8 F4'
_cell_length_a 9.160
_cell_length_b 4.587
_cell_length_c 5.669
_cell_angle_alpha 90.00
_cell_angle_beta 108.32
_cell_angle_gamma 90.00
_symmetry_space_group_name_H-M 'C 1 2/c 1'
_symmetry_Int_Tables_number 15
_symmetry_space_group_name_Hall '-C 2yc'
loop_
_atom_site_label
_atom_site_type_symbol
_atom_site_fract_x
_atom_site_fract_y
_atom_site_fract_z
Li1 Li 0.177 0.013 0.088
Mn1 Mn 0.000 0.499 0.250
O1 O 0.153 0.494 0.077
F1 F 0.000 0.000 0.250
```

No. 8
The following is a calculated powder diffraction line list of LiMn6O4F8. It was derived from a DFT-relaxed cell (GGA+U, the Materials Project), using λ = 1.5418 Å (Cu Kα).
Kinematic intensities with the Lorentz-polarization factor, no thermal factor.

Peak list (6 most intense, 2θ from 15° to 90°, in order of falling intensity)
index, d (Å), two_theta, Rel. int.
1 1 1, 3.726, 23.88, 100.0
-1 1 1, 3.323, 26.83, 86.8
0 2 -1, 2.688, 33.33, 52.7
0 0 3, 2.641, 33.94, 33.9
1 3 0, 1.882, 48.37, 32.0
0 2 -4, 1.587, 58.11, 21.8

Cell and atoms:
```
data_LiMn6O4F8
_chemical_formula_sum 'Li1 Mn6 O4 F8'
_cell_length_a 5.053
_cell_length_b 5.919
_cell_length_c 7.968
_cell_angle_alpha 85.27
_cell_angle_beta 85.88
_cell_angle_gamma 84.60
_symmetry_space_group_name_H-M 'P 1'
_symmetry_Int_Tables_number 1
_symmetry_space_group_name_Hall 'P 1'
loop_
_atom_site_label
_atom_site_type_symbol
_atom_site_fract_x
_atom_site_fract_y
_atom_site_fract_z
Li1 Li 0.000 0.000 0.000
Mn1 Mn 0.001 0.975 0.522
Mn2 Mn 0.144 0.323 0.196
Mn3 Mn 0.493 0.814 0.195
Mn4 Mn 0.505 0.122 0.843
Mn5 Mn 0.523 0.477 0.504
Mn6 Mn 0.980 0.601 0.844
O1 O 0.176 0.998 0.266
O2 O 0.187 0.302 0.953
O3 O 0.363 0.536 0.274
O4 O 0.823 0.944 0.773
F1 F 0.189 0.656 0.613
F2 F 0.327 0.829 0.938
F3 F 0.345 0.164 0.608
F4 F 0.651 0.097 0.089
F5 F 0.677 0.422 0.752
F6 F 0.687 0.800 0.431
F7 F 0.838 0.650 0.096
F8 F 0.886 0.316 0.412
```

No. 9
The following is a calculated powder diffraction line list of Li7MnO5F. It was derived from a DFT-relaxed cell (GGA+U, the Materials Project), using λ = 1.5418 Å (Cu Kα).
Kinematic intensities with the Lorentz-polarization factor, no thermal factor.

Peak list (6 most intense, 2θ from 15° to 90°, in order of falling intensity)
index, d (Å), two_theta, Rel. int.
1 0 -2, 3.970, 22.40, 100.0
0 0 2, 4.624, 19.20, 77.7
1 0 0, 4.585, 19.36, 75.4
-1 1 1, 4.515, 19.66, 72.7
1 1 1, 2.434, 36.93, 66.2
0 1 1, 4.034, 22.03, 60.4

Cell and atoms:
```
data_Li7MnO5F
_chemical_formula_sum 'Li14 Mn2 O10 F2'
_cell_length_a 5.510
_cell_length_b 5.676
_cell_length_c 9.784
_cell_angle_alpha 91.66
_cell_angle_beta 105.82
_cell_angle_gamma 118.34
_symmetry_space_group_name_H-M 'P 1'
_symmetry_Int_Tables_number 1
_symmetry_space_group_name_Hall 'P 1'
loop_
_atom_site_label
_atom_site_type_symbol
_atom_site_fract_x
_atom_site_fract_y
_atom_site_fract_z
Li1 Li 0.000 0.000 0.000
Li2 Li 0.000 0.500 0.500
Li3 Li 0.137 0.327 0.708
Li4 Li 0.137 0.827 0.209
Li5 Li 0.195 0.259 0.325
Li6 Li 0.195 0.758 0.825
Li7 Li 0.439 0.268 0.939
Li8 Li 0.439 0.768 0.439
Li9 Li 0.619 0.193 0.184
Li10 Li 0.619 0.693 0.684
Li11 Li 0.756 0.166 0.808
Li12 Li 0.756 0.666 0.308
Li13 Li 0.997 0.405 0.087
Li14 Li 0.997 0.904 0.587
Mn1 Mn 0.501 0.215 0.570
Mn2 Mn 0.501 0.716 0.070
O1 O 0.158 0.882 0.437
O2 O 0.159 0.383 0.937
O3 O 0.301 0.920 0.024
O4 O 0.302 0.421 0.524
O5 O 0.383 0.147 0.734
O6 O 0.384 0.648 0.234
O7 O 0.730 0.033 0.611
O8 O 0.730 0.533 0.111
O9 O 0.865 0.550 0.657
O10 O 0.866 0.051 0.157
F1 F 0.604 0.298 0.366
F2 F 0.604 0.798 0.867
```